Computed powder XRD pattern
Compound: Ba4IrBr4
Radiation: Cu Kα (weighted mean of Kα1 and Kα2)
Structure: a structure optimized by DFT (PBE)

Crystal structure
Unit cell a=8.6136 b=8.6136 c=11.6660 alpha=120.55 beta=120.55 gamma=31.30
Sites, in units of the cell vectors:
Ba (0.0765, 0.0765, 0.3934)
Ba (0.3159, 0.3159, 0.2344)
Ba (0.6841, 0.6841, 0.7656)
Ba (0.9235, 0.9235, 0.6066)
Ir (0.5000, 0.5000, 0.5000)
Br (0.1229, 0.1229, 0.9069)
Br (0.2910, 0.2910, 0.6843)
Br (0.7090, 0.7090, 0.3157)
Br (0.8771, 0.8771, 0.0931)

Top 6 peaks for 2θ from 10° to 90°, sorted by position:
2θ (°)	Rel. int.
10.9	41
26.3	100
26.9	43
37.3	31
38.6	33
38.8	19

Computed powder XRD pattern
Compound: Ba6IrBr3N2
Radiation: Cu Kα (weighted mean of Kα1 and Kα2)
Structure: a structure optimized by DFT (PBE)

Crystal structure
Unit cell a=7.4816 b=7.4816 c=8.3623 alpha=98.61 beta=98.61 gamma=120.01
Sites, in units of the cell vectors:
Ba (0.0816, 0.4366, 0.8101)
Ba (0.2086, 0.2086, 0.1896)
Ba (0.4366, 0.0816, 0.8101)
Ba (0.5634, 0.9184, 0.1899)
Ba (0.7914, 0.7914, 0.8104)
Ba (0.9184, 0.5634, 0.1899)
Ir (0.5000, 0.5000, 0.0000)
Br (0.0000, 0.0000, 0.5000)
Br (0.3362, 0.6638, 0.5000)
Br (0.6638, 0.3362, 0.5000)
N (0.1670, 0.8330, 0.0000)
N (0.8330, 0.1670, 0.0000)

Top 6 peaks for 2θ from 10° to 90°, sorted by position:
2θ (°)	Rel. int.
11.1	15
28.1	100
30.3	15
38.5	19
41.8	38
51.2	17

Computed powder XRD pattern
Compound: KBa2Br5
Radiation: Cu Kα (weighted mean of Kα1 and Kα2)
Structure: a structure optimized by DFT (PBE)

Crystal structure
Unit cell a=14.3112 b=9.5528 c=8.6048 alpha=90.00 beta=90.00 gamma=90.00
Sites, in units of the cell vectors:
K (0.0023, 0.2500, 0.0340)
K (0.4977, 0.7500, 0.5340)
K (0.5023, 0.2500, 0.4660)
K (0.9977, 0.7500, 0.9660)
Ba (0.1769, 0.0002, 0.5202)
Ba (0.1769, 0.4998, 0.5202)
Ba (0.3231, 0.9998, 0.0202)
Ba (0.3231, 0.5002, 0.0202)
Ba (0.6769, 0.0002, 0.9798)
Ba (0.6769, 0.4998, 0.9798)
Ba (0.8231, 0.9998, 0.4798)
Ba (0.8231, 0.5002, 0.4798)
Br (0.0006, 0.2500, 0.4808)
Br (0.1122, 0.5175, 0.1628)
Br (0.1122, 0.9825, 0.1628)
Br (0.1933, 0.2500, 0.8141)
Br (0.2085, 0.7500, 0.8039)
Br (0.2915, 0.2500, 0.3039)
Br (0.3067, 0.7500, 0.3141)
Br (0.3878, 0.0175, 0.6629)
Br (0.3878, 0.4825, 0.6629)
Br (0.4994, 0.7500, 0.9808)
Br (0.5006, 0.2500, 0.0192)
Br (0.6122, 0.5175, 0.3372)
Br (0.6122, 0.9825, 0.3372)
Br (0.6933, 0.2500, 0.6859)
Br (0.7085, 0.7500, 0.6961)
Br (0.7915, 0.2500, 0.1961)
Br (0.8067, 0.7500, 0.1859)
Br (0.8878, 0.0175, 0.8372)
Br (0.8878, 0.4825, 0.8372)
Br (0.9994, 0.7500, 0.5192)

Top 6 peaks for 2θ from 10° to 90°, sorted by position:
2θ (°)	Rel. int.
24.7	46
28.4	75
28.6	57
30.6	100
31.2	51
37.7	62

Computed powder XRD pattern
Compound: K2Ba3Br8
Radiation: Cu Kα (weighted mean of Kα1 and Kα2)
Structure: a structure optimized by DFT (PBE)

Crystal structure
Unit cell a=10.0519 b=10.0519 c=5.4874 alpha=90.00 beta=90.00 gamma=108.29
Sites, in units of the cell vectors:
K (0.2348, 0.7652, 0.0000)
K (0.7652, 0.2348, 0.0000)
Ba (0.2147, 0.2147, 0.5000)
Ba (0.5000, 0.5000, 0.0000)
Ba (0.7853, 0.7853, 0.5000)
Br (0.1222, 0.8778, 0.5000)
Br (0.1498, 0.3815, 0.0000)
Br (0.3815, 0.1498, 0.0000)
Br (0.3870, 0.6130, 0.5000)
Br (0.6130, 0.3870, 0.5000)
Br (0.6185, 0.8502, 0.0000)
Br (0.8502, 0.6185, 0.0000)
Br (0.8778, 0.1222, 0.5000)

Top 6 peaks for 2θ from 10° to 90°, sorted by position:
2θ (°)	Rel. int.
10.9	37
18.6	18
30.4	24
31.3	100
32.6	25
57.4	19

Repeat the second record exactly.
Computed powder XRD pattern
Compound: Ba6IrBr3N2
Radiation: Cu Kα (weighted mean of Kα1 and Kα2)
Structure: a structure optimized by DFT (PBE)

Crystal structure
Unit cell a=7.4816 b=7.4816 c=8.3623 alpha=98.61 beta=98.61 gamma=120.01
Sites, in units of the cell vectors:
Ba (0.0816, 0.4366, 0.8101)
Ba (0.2086, 0.2086, 0.1896)
Ba (0.4366, 0.0816, 0.8101)
Ba (0.5634, 0.9184, 0.1899)
Ba (0.7914, 0.7914, 0.8104)
Ba (0.9184, 0.5634, 0.1899)
Ir (0.5000, 0.5000, 0.0000)
Br (0.0000, 0.0000, 0.5000)
Br (0.3362, 0.6638, 0.5000)
Br (0.6638, 0.3362, 0.5000)
N (0.1670, 0.8330, 0.0000)
N (0.8330, 0.1670, 0.0000)

Top 6 peaks for 2θ from 10° to 90°, sorted by position:
2θ (°)	Rel. int.
11.1	15
28.1	100
30.3	15
38.5	19
41.8	38
51.2	17